Entry 1:
The following is a calculated powder X-ray diffraction pattern of Mn6O5F7. It was derived from DFT lattice parameters and positions (GGA+U), using CuKα.
No peak broadening, texture or thermal motion is included.

Atomic structure:
a = 9.3196 Å, b = 7.2840 Å, c = 6.3595 Å
α = 90.00°, β = 90.00°, γ = 90.00°
Space group Amm2 (No. 38)
Unique sites:
Mn 0.0000 0.0000 0.0000 x2
Mn 0.1656 0.0000 0.4988 x4
Mn 0.3246 0.0000 0.9970 x4
Mn 0.5000 0.0000 0.5258 x2
O 0.1636 0.0000 0.8010 x4
O 0.1648 0.0000 0.1957 x4
O 0.5000 0.0000 0.8230 x2
F 0.0000 0.1874 0.5005 x4
F 0.3343 0.1901 0.5042 x8
F 0.5000 0.0000 0.2070 x2

The 10 most intense peaks (5° ≤ 2θ ≤ 70°), by intensity:
| hkl | 2θ/deg | I/Imax |
| --- | --- | --- |
| 0 2 0 | 24.4 | 100 |
| 3 1 1 | 34.4 | 82 |
| 0 0 2 | 28.1 | 76 |
| 3 3 1 | 49.8 | 66 |
| 3 1 3 | 53.8 | 42 |
| 3 3 3 | 65.8 | 40 |
| 0 4 0 | 50.1 | 19 |
| 3 2 0 | 38.1 | 16 |
| 6 0 0 | 59.5 | 15 |
| 3 0 2 | 40.6 | 15 |

Entry 2:
The following is a calculated powder X-ray diffraction pattern of Li4V3FeO8. It was derived from DFT lattice parameters and positions (GGA+U), using CuKα.
No peak broadening, texture or thermal motion is included.

Atomic structure:
a = 5.9839 Å, b = 5.9847 Å, c = 5.9965 Å
α = 119.82°, β = 90.22°, γ = 119.84°
Space group P1 (No. 1)
Unique sites:
Li 0.0000 0.0000 0.0000 x1
Li 0.0021 0.4983 0.9996 x1
Li 0.4961 0.9939 0.0005 x1
Li 0.5030 0.4951 0.0011 x1
V 0.0007 0.4990 0.5000 x1
V 0.0008 0.9991 0.5001 x1
V 0.5011 0.9993 0.4996 x1
Fe 0.4993 0.4980 0.5005 x1
O 0.2102 0.4661 0.2747 x1
O 0.2141 0.9637 0.2703 x1
O 0.2784 0.0211 0.7287 x1
O 0.2929 0.5261 0.7282 x1
O 0.7090 0.4722 0.2716 x1
O 0.7225 0.9766 0.2712 x1
O 0.7871 0.0349 0.7297 x1
O 0.7906 0.5316 0.7256 x1

The 10 most intense peaks (5° ≤ 2θ ≤ 70°), by intensity:
| hkl | 2θ/deg | I/Imax |
| --- | --- | --- |
| 0 0 1 | 18.1 | 100 |
| 0 2 0 | 42.6 | 52 |
| 0 2 -1 | 35.1 | 32 |
| 2 -2 2 | 42.8 | 28 |
| 4 -2 0 | 62.0 | 14 |
| 2 0 2 | 61.9 | 14 |
| 0 2 -2 | 36.7 | 14 |
| 2 -2 1 | 35.2 | 14 |
| -2 2 2 | 61.8 | 13 |
| 2 0 -3 | 56.3 | 11 |